Simulated X-ray powder pattern
Compound: Ge4PbO9
Radiation: a wavelength of 1.5418 Å
Structure: a DFT-relaxed cell (GGA-PBE, the Materials Project)
Peak positions follow from Bragg's law for the DFT cell and can differ from measured ones.

Crystal structure
Cell: 6.9145 6.9145 4.7179 Å, 103.29 103.29 114.49°
Fractional coordinates of all 14 atoms:
Ge  0.0000  0.0000  0.0000
Ge  0.3791  0.1790  0.6831
Ge  0.8210  0.1790  0.5000
Ge  0.8210  0.6209  0.3169
Pb  0.3081  0.6919  0.0000
O  0.0192  0.7654  0.1545
O  0.0198  0.2461  0.8664
O  0.2138  0.2294  0.3974
O  0.2346  0.9808  0.8455
O  0.5380  0.0705  0.5144
O  0.5524  0.4476  0.0000
O  0.7539  0.9802  0.1336
O  0.7706  0.7862  0.6026
O  0.9295  0.4620  0.4856

Top 8 peaks for 2θ = 10–90°, low angle first:
2θ (°)	I (rel.)
15.15	28
20.77	76
25.70	42
26.49	25
30.09	68
30.15	100
30.55	57
30.75	29